For MnNbGe2, a structure optimized by DFT (PBE) gives the simulated powder diffractogram in this record (CuKα).
Lines closer than 0.1° are merged.

Largest 6 diffraction maxima, by angle, 2θ from 5° to 70°:
| Position (°2θ) | I/Imax |
| --- | --- |
| 30.64 | 354 |
| 36.49 | 710 |
| 37.08 | 268 |
| 39.56 | 957 |
| 43.26 | 1000 |
| 53.52 | 358 |

Atomic structure:
Cell lengths 6.3388, 6.3388, 4.9619 Å; angles 100.87, 100.87, 134.05 degrees
Element x y z (fractional)
Mn 0.0079 0.9921 0.7500
Mn 0.9921 0.0079 0.2500
Nb 0.3688 0.6312 0.2500
Nb 0.6312 0.3688 0.7500
Ge 0.0438 0.3583 0.6180
Ge 0.3583 0.0438 0.1180
Ge 0.6417 0.9562 0.8820
Ge 0.9562 0.6417 0.3820